[1]
Computed powder X-ray diffraction pattern of ScSnPt for Cu Kα X-rays, from the PBE geometry in the Materials Project.
Neutral-atom scattering factors, no anomalous dispersion.

Top 10 peaks for 10° ≤ 2θ ≤ 90°, sorted by position:
d/Å	I/Imax
3.724	87
3.220	36
2.631	48
2.437	100
2.152	73
2.039	70
1.863	23
1.406	26
1.376	36
1.107	18

Crystal structure
Cell: 7.4533 7.4533 7.4304 Å, 90.00 90.00 120.00°
Space group P-62c (No. 190)
Inequivalent atoms, fractional coordinates:
Sc  0.0180  0.4046  0.2500
Sn  0.0000  0.7274  0.0000
Pt  0.0000  0.0000  0.2500
Pt  0.3333  0.6667  0.5366


[2]
Computed powder X-ray diffraction pattern of FeNiSn for Cu Kα X-rays, from the PBE geometry in the Materials Project.
Neutral-atom scattering factors, no anomalous dispersion.

Top 10 peaks for 10° ≤ 2θ ≤ 90°, sorted by position:
d/Å	I/Imax
3.072	24
2.630	13
2.185	100
2.160	77
1.681	20
1.536	25
1.261	16
1.256	25
1.127	24
1.092	11

Crystal structure
Cell: 4.3696 4.3696 5.2597 Å, 90.00 90.00 120.00°
Space group P6_3/mmc (No. 194)
Inequivalent atoms, fractional coordinates:
Fe  0.3333  0.6667  0.2500
Ni  0.0000  0.0000  0.0000
Sn  0.3333  0.6667  0.7500


[3]
Computed powder X-ray diffraction pattern of Na3BiO3 for Cu Kα X-rays, from the PBE geometry in the Materials Project.
Neutral-atom scattering factors, no anomalous dispersion.

Top 10 peaks for 10° ≤ 2θ ≤ 90°, sorted by position:
d/Å	I/Imax
5.156	28
5.117	55
4.877	100
4.705	41
3.773	22
3.621	26
3.428	26
2.848	25
2.660	21
2.208	31

Crystal structure
Cell: 10.3410 10.3541 11.3385 Å, 71.40 66.55 89.07°
Space group P-1 (No. 2)
Inequivalent atoms, fractional coordinates:
Na  0.0114  0.4198  0.4135
Na  0.0133  0.8278  0.3415
Na  0.0646  0.2034  0.2739
Na  0.0723  0.9093  0.8841
Na  0.1100  0.6532  0.1410
Na  0.1482  0.4227  0.0277
Na  0.2223  0.9633  0.0547
Na  0.2285  0.0045  0.4420
Na  0.3636  0.1696  0.0854
Na  0.3747  0.0187  0.6085
Na  0.3941  0.8491  0.8401
Na  0.3996  0.5904  0.0128
Bi  0.2101  0.2297  0.8208
Bi  0.2342  0.6658  0.7169
Bi  0.3359  0.7650  0.2651
Bi  0.3471  0.3225  0.3460
O  0.0044  0.1509  0.8635
O  0.0293  0.5665  0.7786
O  0.1391  0.2210  0.4381
O  0.1433  0.6344  0.3494
O  0.1689  0.2015  0.0264
O  0.1754  0.8650  0.6665
O  0.2360  0.6492  0.9081
O  0.2417  0.9489  0.2583
O  0.2937  0.0458  0.8178
O  0.3659  0.3634  0.1455
O  0.3863  0.7916  0.0592
O  0.4447  0.1393  0.3760


[4]
Computed powder X-ray diffraction pattern of K3NaRu2O8 for Cu Kα X-rays, from the PBE geometry in the Materials Project.
Neutral-atom scattering factors, no anomalous dispersion.

Top 10 peaks for 10° ≤ 2θ ≤ 90°, sorted by position:
d/Å	I/Imax
5.276	26
4.365	72
4.347	17
3.877	23
3.130	41
3.114	23
3.046	100
2.188	16
2.178	24
1.776	16

Crystal structure
Cell: 10.5486 6.0945 15.5098 Å, 90.00 90.40 90.00°
Space group C2/c (No. 15)
Inequivalent atoms, fractional coordinates:
K  0.0000  0.0647  0.2500
K  0.1708  0.4735  0.9158
Na  0.0000  0.0000  0.0000
Ru  0.1617  0.4759  0.6399
O  0.0720  0.2289  0.6220
O  0.0821  0.3096  0.0789
O  0.1729  0.4350  0.2489
O  0.1861  0.0459  0.4119